Simulated XRD peak list
Compound: FeCuH4S2O13
Radiation: a wavelength of 1.5418 Å
Structure: a crystal structure in the Materials Project, relaxed with PBE+U
Lines closer than 0.1° are merged.

The 6 most intense peaks (2θ = 10–90°), low angle first:
17.45 deg, intensity 100; 18.06 deg, intensity 49; 24.07 deg, intensity 35; 27.61 deg, intensity 89; 30.27 deg, intensity 28; 37.24 deg, intensity 27

Crystal structure
Cell: 7.430 7.228 10.081 Å, 90.00 105.86 90.00°
Positions (direct):
1 Fe 0.000 0.000 0.000
2 Fe 0.000 0.500 0.000
3 Cu 0.396 0.250 0.652
4 Cu 0.604 0.750 0.348
5 H 0.074 0.250 0.553
6 H 0.250 0.750 0.050
7 H 0.425 0.556 0.734
8 H 0.425 0.944 0.734
9 H 0.575 0.056 0.266
10 H 0.575 0.444 0.266
11 H 0.750 0.250 0.950
12 H 0.926 0.750 0.447
13 S 0.118 0.250 0.289
14 S 0.361 0.250 0.986
15 S 0.639 0.750 0.014
16 S 0.882 0.750 0.711
17 O 0.022 0.750 0.632
18 O 0.103 0.080 0.202
19 O 0.103 0.420 0.202
20 O 0.115 0.750 0.043
21 O 0.151 0.250 0.652
22 O 0.240 0.081 0.957
23 O 0.240 0.419 0.957
24 O 0.305 0.250 0.392
25 O 0.371 0.750 0.356
26 O 0.374 0.503 0.640
27 O 0.374 0.997 0.640
28 O 0.480 0.250 0.129
29 O 0.485 0.250 0.892
30 O 0.515 0.750 0.108
31 O 0.520 0.750 0.871
32 O 0.626 0.003 0.360
33 O 0.626 0.497 0.360
34 O 0.629 0.250 0.644
35 O 0.695 0.750 0.608
36 O 0.760 0.581 0.043
37 O 0.760 0.919 0.043
38 O 0.849 0.750 0.348
39 O 0.885 0.250 0.957
40 O 0.897 0.580 0.798
41 O 0.897 0.920 0.798
42 O 0.978 0.250 0.368